Diffraction record for Ba2SrH6Ru. The XRD peak list is calculated, not measured: it uses a crystal structure in Alexandria, relaxed with PBE and Cu Kα X-rays.
Kinematic intensities with the Lorentz-polarization factor, no thermal factor.

```
data_Ba2SrH6Ru
_chemical_formula_sum 'Ba2 Sr1 H6 Ru1'
_cell_length_a 5.6754
_cell_length_b 5.6754
_cell_length_c 6.6120
_cell_angle_alpha 90.00
_cell_angle_beta 90.00
_cell_angle_gamma 120.00
_space_group_name_H-M_alt 'P 1'
_space_group_IT_number 1
loop_
_space_group_symop_operation_xyz
'x,y,z'
loop_
_atom_site_label
_atom_site_type_symbol
_atom_site_fract_x
_atom_site_fract_y
_atom_site_fract_z
_atom_site_occupancy
Ba1 Ba 0.3333 0.6667 0.1581 1
Ba2 Ba 0.6667 0.3333 0.8419 1
Sr1 Sr 0.0000 0.0000 0.5000 1
H1 H 0.1424 0.2847 0.8428 1
H2 H 0.1424 0.8576 0.8428 1
H3 H 0.2847 0.1424 0.1572 1
H4 H 0.7153 0.8576 0.8428 1
H5 H 0.8576 0.1424 0.1572 1
H6 H 0.8576 0.7153 0.1572 1
Ru1 Ru 0.0000 0.0000 0.0000 1
```

The 10 most intense peaks (2θ from 10° to 80°), by intensity:
- 2θ = 31.53°, I 100.0, (1 1 0)
- 2θ = 32.64°, I 90.9, (0 1 2)
- 2θ = 22.54°, I 88.0, (1 0 1)
- 2θ = 56.85°, I 36.7, (1 2 2)
- 2θ = 46.02°, I 35.7, (2 0 2)
- 2θ = 13.39°, I 35.1, (0 0 1)
- 2θ = 56.12°, I 23.3, (3 0 0)
- 2θ = 39.10°, I 22.6, (0 2 1)
- 2θ = 51.07°, I 19.3, (2 1 1)
- 2θ = 34.39°, I 19.1, (1 1 1)